Entry 1:
Starting from the GGA-PBE geometry in Alexandria, the powder X-ray diffraction pattern of Nd2NpBi3 was simulated for Cu Kα (weighted mean of Kα1 and Kα2).
Kinematic intensities with the Lorentz-polarization factor, no thermal factor.

Largest 10 diffraction maxima, low angle first, 2θ = 10–90°:
12.26°, rel. 2, hkl 1 1 1; 23.80°, rel. 1, hkl 0 2 6; 27.55°, rel. 100, hkl 2 0 6; 39.35°, rel. 79, hkl 4 0 0; 46.51°, rel. 1, hkl 2 2 12; 48.71°, rel. 29, hkl 4 4 0; 56.87°, rel. 14, hkl 4 0 12; 64.34°, rel. 38, hkl 4 4 12; 71.35°, rel. 28, hkl 4 8 0; 84.67°, rel. 9, hkl 4 8 12

Crystal structure
Cell: 9.1623 12.9485 27.4665 Å, 90.00 90.00 90.00°
Space group Fddd (No. 70, origin choice 2)
Asymmetric unit:
1 Nd 0.1250 0.1250 0.0426 x16
2 Nd 0.1250 0.1250 0.3740 x16
3 Np 0.1250 0.1250 0.5415 x16
4 Bi 0.1192 0.3750 0.8750 x16
5 Bi 0.1223 0.3722 0.7094 x32

Entry 2:
Starting from the GGA-PBE geometry in Alexandria, the powder X-ray diffraction pattern of Nd2Bi4O9 was simulated for Cu Kα (weighted mean of Kα1 and Kα2).
Kinematic intensities with the Lorentz-polarization factor, no thermal factor.

Largest 10 diffraction maxima, low angle first, 2θ = 10–90°:
20.20°, rel. 15, hkl 1 0 2; 28.61°, rel. 90, hkl 0 1 4; 28.83°, rel. 100, hkl 1 1 0; 41.07°, rel. 41, hkl 2 0 4; 46.03°, rel. 25, hkl 1 1 6; 50.95°, rel. 43, hkl 1 2 4; 51.09°, rel. 27, hkl 3 0 0; 59.73°, rel. 14, hkl 2 2 0; 67.54°, rel. 16, hkl 3 1 4; 82.41°, rel. 13, hkl 4 1 0

Crystal structure
Cell: 6.1927 6.1927 15.3466 Å, 90.00 90.00 120.00°
Space group P-3c1 (No. 165)
Asymmetric unit:
1 Nd 0.0000 0.0000 0.1385 x4
2 Bi 0.3333 0.6667 0.1932 x4
3 Bi 0.3333 0.6667 0.4775 x4
4 O 0.0000 0.2817 0.2500 x6
5 O 0.0776 0.3841 0.5783 x12

Entry 3:
Starting from the GGA-PBE geometry in Alexandria, the powder X-ray diffraction pattern of Nd4Bi6O19 was simulated for Cu Kα (weighted mean of Kα1 and Kα2).
Kinematic intensities with the Lorentz-polarization factor, no thermal factor.

Largest 10 diffraction maxima, low angle first, 2θ = 10–90°:
18.02°, rel. 21, hkl 2 0 0; 22.11°, rel. 39, hkl 2 1 1; 28.67°, rel. 100, hkl 3 1 0; 31.47°, rel. 21, hkl 2 2 2; 34.06°, rel. 71, hkl 3 2 1; 45.10°, rel. 20, hkl 4 2 2; 47.05°, rel. 47, hkl 4 1 3; 56.03°, rel. 24, hkl 6 0 0; 57.71°, rel. 22, hkl 5 3 2; 64.14°, rel. 19, hkl 6 3 1

Crystal structure
Cell: 9.8478 9.8478 9.8478 Å, 90.00 90.00 90.00°
Space group I23 (No. 197)
Asymmetric unit:
1 Nd 0.1447 0.1447 0.8553 x8
2 Bi 0.0000 0.3272 0.5000 x12
3 O 0.0000 0.0000 0.0000 x2
4 O 0.0000 0.0000 0.3545 x12
5 O 0.0346 0.3047 0.7210 x24

Entry 4:
Starting from the GGA-PBE geometry in Alexandria, the powder X-ray diffraction pattern of NdPaBi2O8 was simulated for Cu Kα (weighted mean of Kα1 and Kα2).
Kinematic intensities with the Lorentz-polarization factor, no thermal factor.

Largest 10 diffraction maxima, low angle first, 2θ = 10–90°:
23.98°, rel. 95, hkl 2 0 0; 29.53°, rel. 100, hkl 1 1 2; 34.17°, rel. 29, hkl 2 2 0; 45.77°, rel. 73, hkl 3 1 2; 49.10°, rel. 16, hkl 4 0 0; 55.35°, rel. 18, hkl 4 2 0; 55.48°, rel. 19, hkl 2 0 4; 58.34°, rel. 20, hkl 3 3 2; 69.37°, rel. 18, hkl 5 1 2; 77.20°, rel. 14, hkl 4 2 4

Crystal structure
Cell: 7.4225 7.4225 7.4031 Å, 90.00 90.00 90.00°
Space group I-4m2 (No. 119)
Asymmetric unit:
1 Nd 0.0000 0.0000 0.0000 x2
2 Pa 0.0000 0.5000 0.7500 x2
3 Bi 0.0000 0.0000 0.5000 x2
4 Bi 0.0000 0.5000 0.2500 x2
5 O 0.0000 0.2077 0.7166 x8
6 O 0.0000 0.3174 0.0426 x8

Entry 5:
Starting from the GGA-PBE geometry in Alexandria, the powder X-ray diffraction pattern of PrNdBiO2 was simulated for Cu Kα (weighted mean of Kα1 and Kα2).
Kinematic intensities with the Lorentz-polarization factor, no thermal factor.

Largest 10 diffraction maxima, low angle first, 2θ = 10–90°:
29.12°, rel. 100, hkl 1 0 3; 31.28°, rel. 36, hkl 1 1 0; 38.26°, rel. 11, hkl 0 0 6; 44.83°, rel. 18, hkl 2 0 0; 50.22°, rel. 25, hkl 1 1 6; 54.35°, rel. 36, hkl 2 1 3; 60.37°, rel. 12, hkl 2 0 6; 63.64°, rel. 11, hkl 1 0 9; 81.19°, rel. 11, hkl 2 1 9; 86.66°, rel. 11, hkl 3 1 6

Crystal structure
Cell: 4.0439 4.0439 14.1135 Å, 90.00 90.00 90.00°
Space group I4mm (No. 107)
Asymmetric unit:
1 Pr 0.0000 0.0000 0.0000 x2
2 Nd 0.0000 0.0000 0.3312 x2
3 Bi 0.0000 0.0000 0.6660 x2
4 O 0.0000 0.5000 0.4143 x4

Entry 6:
Starting from the GGA-PBE geometry in Alexandria, the powder X-ray diffraction pattern of Rb2NdBiO4 was simulated for Cu Kα (weighted mean of Kα1 and Kα2).
Kinematic intensities with the Lorentz-polarization factor, no thermal factor.

Largest 10 diffraction maxima, low angle first, 2θ = 10–90°:
13.40°, rel. 36, hkl 0 0 1; 26.99°, rel. 39, hkl 0 0 2; 29.60°, rel. 86, hkl 2 0 0; 33.57°, rel. 100, hkl 1 1 1; 46.53°, rel. 36, hkl 2 0 2; 49.85°, rel. 33, hkl 0 2 0; 54.61°, rel. 19, hkl 1 1 3; 57.59°, rel. 30, hkl 0 2 2; 61.44°, rel. 17, hkl 4 0 0; 77.92°, rel. 15, hkl 3 1 3

Crystal structure
Cell: 6.3304 3.6629 6.9353 Å, 90.00 107.68 90.00°
Space group P2/m (No. 10)
Asymmetric unit:
1 Rb 0.0000 0.0000 0.0000 x1
2 Rb 0.5000 0.5000 0.0000 x1
3 Nd 0.0000 0.5000 0.5000 x1
4 Bi 0.5000 0.0000 0.5000 x1
5 O 0.2243 0.0000 0.6837 x2
6 O 0.2658 0.5000 0.3110 x2

Entry 7:
Starting from the GGA-PBE geometry in Alexandria, the powder X-ray diffraction pattern of NdReBi2O8 was simulated for Cu Kα (weighted mean of Kα1 and Kα2).
Kinematic intensities with the Lorentz-polarization factor, no thermal factor.

Largest 10 diffraction maxima, low angle first, 2θ = 10–90°:
23.62°, rel. 57, hkl 1 0 -1; 24.17°, rel. 56, hkl 1 0 1; 31.17°, rel. 100, hkl 0 2 1; 34.05°, rel. 33, hkl 2 0 0; 46.52°, rel. 38, hkl 2 2 -1; 47.13°, rel. 40, hkl 1 2 2; 54.75°, rel. 11, hkl 3 0 -1; 59.15°, rel. 22, hkl 3 2 0; 65.00°, rel. 12, hkl 2 4 0; 69.33°, rel. 11, hkl 2 2 -3

Crystal structure
Cell: 5.2675 6.8447 5.2677 Å, 90.00 91.29 90.00°
Space group P2/m (No. 10)
Asymmetric unit:
1 Nd 0.0000 0.0000 0.0000 x1
2 Re 0.0000 0.5000 0.0000 x1
3 Bi 0.5000 0.2530 0.5000 x2
4 O 0.1783 0.2923 0.1796 x4
5 O 0.2475 0.5000 0.7543 x2
6 O 0.3146 0.0000 0.6864 x2

Entry 8:
Starting from the GGA-PBE geometry in Alexandria, the powder X-ray diffraction pattern of NdBi2RhO8 was simulated for Cu Kα (weighted mean of Kα1 and Kα2).
Kinematic intensities with the Lorentz-polarization factor, no thermal factor.

Largest 10 diffraction maxima, low angle first, 2θ = 10–90°:
17.57°, rel. 12, hkl 0 0 1; 24.66°, rel. 56, hkl 1 0 -1; 25.22°, rel. 53, hkl 1 0 1; 31.37°, rel. 100, hkl 1 2 0; 35.56°, rel. 30, hkl 0 0 2; 47.83°, rel. 39, hkl 2 2 -1; 48.46°, rel. 38, hkl 2 2 1; 61.22°, rel. 11, hkl 0 2 3; 61.32°, rel. 11, hkl 3 2 0; 65.47°, rel. 11, hkl 0 4 2

Crystal structure
Cell: 5.0451 6.9100 5.0543 Å, 90.00 91.26 90.00°
Space group P2/m (No. 10)
Asymmetric unit:
1 Nd 0.0000 0.0000 0.0000 x1
2 Bi 0.5000 0.2594 0.5000 x2
3 Rh 0.0000 0.5000 0.0000 x1
4 O 0.1993 0.2803 0.1787 x4
5 O 0.2654 0.5000 0.7120 x2
6 O 0.3105 0.0000 0.6663 x2

Entry 9:
Starting from the GGA-PBE geometry in Alexandria, the powder X-ray diffraction pattern of NdBiSeO2 was simulated for Cu Kα (weighted mean of Kα1 and Kα2).
Kinematic intensities with the Lorentz-polarization factor, no thermal factor.

Largest 10 diffraction maxima, low angle first, 2θ = 10–90°:
23.65°, rel. 23, hkl 1 0 1; 31.28°, rel. 100, hkl 1 0 3; 32.08°, rel. 43, hkl 1 1 0; 43.59°, rel. 22, hkl 0 0 6; 46.00°, rel. 22, hkl 2 0 0; 55.16°, rel. 23, hkl 1 1 6; 56.69°, rel. 38, hkl 2 1 3; 56.79°, rel. 9, hkl 1 0 7; 75.93°, rel. 16, hkl 3 0 3; 83.49°, rel. 9, hkl 2 2 6

Crystal structure
Cell: 3.9458 3.9458 12.4466 Å, 90.00 90.00 90.00°
Space group I4mm (No. 107)
Asymmetric unit:
1 Nd 0.0000 0.0000 0.0000 x2
2 Bi 0.0000 0.0000 0.2992 x2
3 Se 0.0000 0.0000 0.6339 x2
4 O 0.0000 0.5000 0.3934 x4

Entry 10:
Starting from the GGA-PBE geometry in Alexandria, the powder X-ray diffraction pattern of NdBiSe2O was simulated for Cu Kα (weighted mean of Kα1 and Kα2).
Kinematic intensities with the Lorentz-polarization factor, no thermal factor.

Largest 10 diffraction maxima, low angle first, 2θ = 10–90°:
22.46°, rel. 23, hkl 1 0 1; 23.78°, rel. 36, hkl 0 0 4; 24.74°, rel. 50, hkl 1 0 2; 28.16°, rel. 20, hkl 1 0 3; 30.81°, rel. 100, hkl 1 1 0; 37.18°, rel. 52, hkl 1 0 5; 39.29°, rel. 49, hkl 1 1 4; 44.14°, rel. 43, hkl 2 0 0; 53.20°, rel. 27, hkl 1 1 7; 59.04°, rel. 27, hkl 2 1 5

Crystal structure
Cell: 4.1038 4.1038 14.9684 Å, 90.00 90.00 90.00°
Space group P4/nmm (No. 129, origin choice 2)
Asymmetric unit:
1 Nd 0.2500 0.2500 0.0787 x2
2 Bi 0.2500 0.2500 0.6371 x2
3 Se 0.2500 0.2500 0.4015 x2
4 Se 0.2500 0.2500 0.8157 x2
5 O 0.2500 0.7500 0.0000 x2

Entry 11:
Starting from the GGA-PBE geometry in Alexandria, the powder X-ray diffraction pattern of Nd2TiBiO6 was simulated for Cu Kα (weighted mean of Kα1 and Kα2).
Kinematic intensities with the Lorentz-polarization factor, no thermal factor.

Largest 10 diffraction maxima, low angle first, 2θ = 10–90°:
16.30°, rel. 14, hkl 1 0 0; 22.99°, rel. 14, hkl 1 0 1; 28.31°, rel. 100, hkl 1 1 1; 32.54°, rel. 12, hkl 0 0 2; 32.94°, rel. 33, hkl 2 0 0; 46.98°, rel. 28, hkl 2 0 2; 47.27°, rel. 18, hkl 2 2 0; 55.50°, rel. 13, hkl 1 1 3; 56.02°, rel. 30, hkl 3 1 1; 75.82°, rel. 10, hkl 3 1 3

Crystal structure
Cell: 5.4388 5.4388 5.5037 Å, 90.00 90.00 90.00°
Space group P4mm (No. 99)
Asymmetric unit:
1 Nd 0.0000 0.5000 0.0000 x2
2 Ti 0.0000 0.0000 0.6164 x1
3 Bi 0.5000 0.5000 0.5236 x1
4 O 0.0000 0.0000 0.2836 x1
5 O 0.2322 0.2322 0.7566 x4
6 O 0.5000 0.5000 0.1191 x1

Entry 12:
Starting from the GGA-PBE geometry in Alexandria, the powder X-ray diffraction pattern of Nd2TlBiO5 was simulated for Cu Kα (weighted mean of Kα1 and Kα2).
Kinematic intensities with the Lorentz-polarization factor, no thermal factor.

Largest 10 diffraction maxima, low angle first, 2θ = 10–90°:
27.24°, rel. 39, hkl 0 0 2; 29.22°, rel. 100, hkl 2 0 1; 32.02°, rel. 20, hkl 2 1 1; 36.78°, rel. 24, hkl 2 2 0; 39.36°, rel. 12, hkl 2 2 1; 40.12°, rel. 17, hkl 2 1 2; 46.37°, rel. 25, hkl 2 2 2; 49.39°, rel. 24, hkl 2 0 3; 54.96°, rel. 13, hkl 4 0 1; 66.96°, rel. 13, hkl 4 2 2

Crystal structure
Cell: 6.9115 6.9115 6.5466 Å, 90.00 90.00 90.00°
Space group P4/mbm (No. 127)
Asymmetric unit:
1 Nd 0.1759 0.3241 0.0000 x4
2 Tl 0.0000 0.0000 0.5000 x2
3 Bi 0.0000 0.5000 0.5000 x2
4 O 0.0000 0.0000 0.0000 x2
5 O 0.1425 0.6425 0.2269 x8